Calculated powder diffractogram of Tb2MgAl2Rh5 for copper Kα, from a cell relaxed with PBE.
No peak broadening, texture or thermal motion is included.

Lattice parameters (Å, degrees): 9.990 9.990 3.443 90.00 90.00 90.00
Atoms (fractional coordinates):
Tb  0.175  0.325  0.000
Tb  0.325  0.825  0.000
Tb  0.675  0.175  0.000
Tb  0.825  0.675  0.000
Mg  0.000  0.000  0.000
Mg  0.500  0.500  0.000
Al  0.123  0.623  0.000
Al  0.377  0.123  0.000
Al  0.623  0.877  0.000
Al  0.877  0.377  0.000
Rh  0.000  0.500  0.500
Rh  0.068  0.792  0.500
Rh  0.208  0.068  0.500
Rh  0.292  0.568  0.500
Rh  0.432  0.292  0.500
Rh  0.500  0.000  0.500
Rh  0.568  0.708  0.500
Rh  0.708  0.432  0.500
Rh  0.792  0.932  0.500
Rh  0.932  0.208  0.500

Top 12 peaks for 2θ = 10–80°, most intense first:
- 38.7°, rel. 100, hkl 3 1 1
- 37.1°, rel. 95, hkl 4 1 0
- 32.8°, rel. 79, hkl 2 1 1
- 41.9°, rel. 39, hkl 3 2 1
- 38.2°, rel. 37, hkl 3 3 0
- 66.6°, rel. 34, hkl 4 1 2
- 36.4°, rel. 24, hkl 2 2 1
- 31.6°, rel. 24, hkl 2 0 1
- 53.2°, rel. 24, hkl 0 0 2
- 65.7°, rel. 21, hkl 5 4 1
- 65.0°, rel. 20, hkl 6 2 1
- 40.4°, rel. 20, hkl 4 2 0